This entry pairs a crystal structure of YTl2Br5 with its computed XRD peak list. Radiation: CuKα. Structure: the GGA-PBE geometry in Alexandria.

Structural model:
```
data_YTl2Br5
_chemical_formula_sum 'Y4 Tl8 Br20'
_cell_length_a 17.3649
_cell_length_b 7.9558
_cell_length_c 10.5175
_cell_angle_alpha 90.00
_cell_angle_beta 122.66
_cell_angle_gamma 90.00
_symmetry_space_group_name_H-M 'C 1 c 1'
_symmetry_Int_Tables_number 9
_symmetry_space_group_name_Hall 'C -2yc'
loop_
_atom_site_label
_atom_site_type_symbol
_atom_site_fract_x
_atom_site_fract_y
_atom_site_fract_z
_atom_site_occupancy
Y1 Y 0.0000 0.0006 0.0000 1
Tl1 Tl 0.1554 0.4730 0.9976 1
Tl2 Tl 0.3441 0.0291 0.0023 1
Br1 Br 0.9998 0.1508 0.2501 1
Br2 Br 0.0557 0.3117 0.6397 1
Br3 Br 0.1831 0.0953 0.1295 1
Br4 Br 0.3168 0.4063 0.8705 1
Br5 Br 0.4444 0.1865 0.3613 1
```

Top 6 peaks for 5° ≤ 2θ ≤ 70°, in order of falling intensity:
(3 1 -2), 2θ 21.58, rel. 100
(3 1 -4), 2θ 36.14, rel. 87
(3 1 0), 2θ 21.38, rel. 84
(0 2 2), 2θ 30.20, rel. 72
(3 3 -2), 2θ 38.76, rel. 57
(6 0 0), 2θ 36.86, rel. 54